No. 1
Computed powder XRD pattern of LiNpBi2O8 for λ = 1.5418 Å (Cu Kα), from a crystal structure in Alexandria, relaxed with GGA-PBE.

Principal peaks in the range 2θ = 5–70°, low angle first:
d [Å], 2θ/deg, Rel. int., h k l
6.857, 12.91, 25.3, 0 0 1
4.083, 21.77, 46.5, 1 1 1
3.604, 24.70, 57.8, 0 2 0
3.584, 24.85, 55.2, 2 0 0
2.842, 31.48, 100.0, 1 1 2
2.541, 35.32, 31.4, 2 2 0
1.897, 47.95, 41.2, 1 3 2
1.891, 48.11, 39.8, 3 1 2
1.547, 59.77, 19.6, 0 2 4
1.519, 61.01, 23.7, 3 3 2

Atomic structure:
```
data_LiNpBi2O8
_chemical_formula_sum 'Li2 Np2 Bi4 O16'
_space_group_name_H-M_alt 'C m m m'
_space_group_IT_number 65
_space_group_name_Hall '-C 2 2'
_cell_length_a 7.1671
_cell_length_b 7.2080
_cell_length_c 6.8567
_cell_angle_alpha 90.00
_cell_angle_beta 90.00
_cell_angle_gamma 90.00
loop_
_atom_site_label
_atom_site_fract_x
_atom_site_fract_y
_atom_site_fract_z
_atom_site_occupancy
Li1 0.0000 0.0000 0.0000 1
Np1 0.0000 0.0000 0.5000 1
Bi1 0.0000 0.5000 0.2393 1
O1 0.0000 0.1825 0.2841 1
O2 0.1992 0.5000 0.0000 1
O3 0.2015 0.5000 0.5000 1
```


No. 2
Computed powder XRD pattern of Li2NpBiS4 for λ = 1.5418 Å (Cu Kα), from a crystal structure in Alexandria, relaxed with GGA-PBE.

Principal peaks in the range 2θ = 5–70°, low angle first:
d [Å], 2θ/deg, Rel. int., h k l
6.228, 14.22, 100.0, 1 0 0
3.395, 26.25, 77.6, 0 1 1
3.239, 27.54, 35.8, 0 0 2
2.784, 32.15, 28.6, 2 0 -2
2.773, 32.29, 56.5, 1 1 1
2.536, 35.40, 37.9, 2 1 -1
1.993, 45.50, 32.4, 0 2 0
1.936, 46.93, 19.7, 3 1 -1
1.897, 47.95, 20.3, 0 1 3
1.619, 56.86, 16.7, 2 2 -2

Atomic structure:
```
data_Li2NpBiS4
_chemical_formula_sum 'Li2 Np1 Bi1 S4'
_space_group_name_H-M_alt 'P 1 2/m 1'
_space_group_IT_number 10
_cell_length_a 6.6501
_cell_length_b 3.9836
_cell_length_c 6.9116
_cell_angle_alpha 90.00
_cell_angle_beta 110.53
_cell_angle_gamma 90.00
loop_
_space_group_symop_operation_xyz
'x,y,z'
'-x,-y,-z'
'-x,y,-z'
'x,-y,z'
loop_
_atom_site_label
_atom_site_fract_x
_atom_site_fract_y
_atom_site_fract_z
_atom_site_occupancy
Li1 0.0000 0.0000 0.0000 1
Li2 0.0000 0.5000 0.5000 1
Np1 0.5000 0.0000 0.5000 1
Bi1 0.5000 0.5000 0.0000 1
S1 0.2384 0.0000 0.7398 1
S2 0.2460 0.5000 0.2553 1
```


No. 3
Computed powder XRD pattern of LiNpBiS4 for λ = 1.5418 Å (Cu Kα), from a crystal structure in Alexandria, relaxed with GGA-PBE.

Principal peaks in the range 2θ = 5–70°, low angle first:
d [Å], 2θ/deg, Rel. int., h k l
6.548, 13.52, 100.0, 1 0 1
3.420, 26.06, 64.3, 1 2 1
3.274, 27.24, 35.9, 2 0 2
2.836, 31.55, 65.6, 2 2 0
2.602, 34.47, 26.8, 3 0 1
2.183, 41.36, 28.8, 1 0 5
2.005, 45.22, 49.4, 0 4 0
1.917, 47.42, 27.3, 1 2 5
1.710, 53.60, 20.3, 2 0 6
1.637, 56.18, 16.5, 0 4 4

Atomic structure:
```
data_LiNpBiS4
_chemical_formula_sum 'Li4 Np4 Bi4 S16'
_space_group_name_H-M_alt 'I m m a'
_space_group_IT_number 74
_space_group_name_Hall '-I 2b 2'
_cell_length_a 8.0210
_cell_length_b 8.0272
_cell_length_c 11.3315
_cell_angle_alpha 90.00
_cell_angle_beta 90.00
_cell_angle_gamma 90.00
loop_
_atom_site_label
_atom_site_fract_x
_atom_site_fract_y
_atom_site_fract_z
_atom_site_occupancy
Li1 0.0000 0.2500 0.1260 1
Np1 0.0000 0.0000 0.5000 1
Bi1 0.2500 0.2500 0.7500 1
S1 0.0000 0.0021 0.7358 1
S2 0.2279 0.2500 0.5004 1
```


No. 4
Computed powder XRD pattern of Li8BiO3 for λ = 1.5418 Å (Cu Kα), from a crystal structure in Alexandria, relaxed with GGA-PBE.

Principal peaks in the range 2θ = 5–70°, low angle first:
d [Å], 2θ/deg, Rel. int., h k l
5.300, 16.73, 100.0, 1 0 0
3.748, 23.74, 98.9, 1 1 0
3.060, 29.18, 74.8, 1 1 1
2.650, 33.83, 27.3, 2 0 0
2.370, 37.96, 65.2, 2 1 0
2.164, 41.75, 47.1, 2 1 1
1.874, 48.59, 35.0, 2 2 0
1.767, 51.74, 32.6, 3 0 0
1.598, 57.69, 31.4, 3 1 1
1.416, 65.95, 27.1, 3 2 1

Atomic structure:
```
data_Li8BiO3
_chemical_formula_sum 'Li8 Bi1 O3'
_space_group_name_H-M_alt 'P m -3 m'
_space_group_IT_number 221
_space_group_name_Hall '-P 4 2 3'
_cell_length_a 5.3000
_cell_length_b 5.3000
_cell_length_c 5.3000
_cell_angle_alpha 90.00
_cell_angle_beta 90.00
_cell_angle_gamma 90.00
loop_
_atom_site_label
_atom_site_fract_x
_atom_site_fract_y
_atom_site_fract_z
_atom_site_occupancy
Li1 0.2250 0.2250 0.2250 1
Bi1 0.5000 0.5000 0.5000 1
O1 0.0000 0.0000 0.5000 1
```